For Tm2Si5Ru3, a crystal structure in Alexandria, relaxed with PBE gives the calculated powder X-ray diffraction pattern in this record (copper Kα).

Peak list (10 most intense, 2θ from 5° to 70°, by angle)
| two_theta | I (rel.) |
| --- | --- |
| 23.62 | 37.7 |
| 23.89 | 26.3 |
| 29.45 | 23.4 |
| 32.18 | 21.6 |
| 35.02 | 38.9 |
| 35.66 | 100.0 |
| 37.40 | 36.8 |
| 44.18 | 51.7 |
| 56.35 | 18.7 |
| 59.66 | 25.5 |

Crystal structure
a = 8.2122 Å, b = 8.2122 Å, c = 8.2122 Å
α = 108.72°, β = 84.75°, γ = 140.40°
Positions (direct):
Tm  0.1368  0.2323  0.3691
Tm  0.3632  0.7323  0.0956
Tm  0.6368  0.2677  0.9044
Tm  0.8632  0.7677  0.6309
Si  0.0432  0.7500  0.2932
Si  0.0948  0.6707  0.7655
Si  0.2500  0.2500  0.0000
Si  0.4052  0.1707  0.5759
Si  0.4568  0.7500  0.7068
Si  0.5432  0.2500  0.2932
Si  0.5948  0.8293  0.4241
Si  0.7500  0.7500  0.0000
Si  0.9052  0.3293  0.2345
Si  0.9568  0.2500  0.7068
Ru  0.1467  0.9082  0.0549
Ru  0.2500  0.7500  0.5000
Ru  0.3533  0.4082  0.7615
Ru  0.6467  0.5918  0.2385
Ru  0.7500  0.2500  0.5000
Ru  0.8533  0.0918  0.9451